Diffraction record for Ag15S5I4Br. The powder X-ray diffraction pattern is simulated, not measured: it uses a structure optimized by DFT (GGA-PBE) and Cu Kα (weighted mean of Kα1 and Kα2).
Kinematic intensities with the Lorentz-polarization factor, no thermal factor.

Largest 10 diffraction maxima, in order of rising 2θ, 15° ≤ 2θ ≤ 90°:
- (-1 1 1), 18.0°, I = 22
- (0 2 1), 25.7°, I = 62
- (2 -1 1), 31.4°, I = 70
- (0 3 -1), 31.5°, I = 100
- (0 2 -4), 36.5°, I = 96
- (3 1 -1), 40.9°, I = 22
- (-1 3 2), 41.0°, I = 28
- (2 3 -2), 41.1°, I = 34
- (1 2 3), 45.2°, I = 53
- (1 4 4), 72.0°, I = 28

Structure:
Lattice parameters (Å, degrees): 6.9712 8.5184 10.9724 105.01 108.21 90.31
Atoms (fractional coordinates):
Ag 0.0000 0.0000 0.0000
Ag 0.0119 0.6113 0.5503
Ag 0.1465 0.9745 0.6706
Ag 0.1735 0.7953 0.3976
Ag 0.2130 0.4161 0.9552
Ag 0.3524 0.7840 0.0613
Ag 0.3751 0.5914 0.7942
Ag 0.4076 0.2194 0.3487
Ag 0.5381 0.5797 0.4559
Ag 0.5896 0.3862 0.1918
Ag 0.6194 0.0097 0.7636
Ag 0.7343 0.3755 0.8558
Ag 0.7694 0.1847 0.5931
Ag 0.8199 0.8080 0.1445
Ag 0.9407 0.1710 0.2649
S 0.1835 0.9492 0.2245
S 0.3827 0.7508 0.6273
S 0.5804 0.5480 0.0244
S 0.7785 0.3464 0.4245
S 0.9810 0.1508 0.8274
I 0.1295 0.4594 0.2115
I 0.3293 0.2549 0.6094
I 0.7305 0.8570 0.4059
I 0.9309 0.6574 0.8086
Br 0.5407 0.0570 0.0138